Record 1
Theoretical X-ray diffraction stick pattern of Ca3Si4Ir4 for Cu Kα X-rays, from a crystal structure in the Materials Project, relaxed with PBE.

Largest 10 diffraction maxima, low angle first, 10 to 80 degrees two-theta:
d/Å  Position (°2θ)  I/Imax
5.287  16.77  100
3.053  29.26  96
2.365  38.06  84
2.159  41.85  38
1.998  45.38  38
1.762  51.88  43
1.466  63.43  24
1.365  68.76  30
1.282  73.91  17
1.213  78.92  19

Structure:
a b c (Å): 6.4757 6.4757 6.4757
angles (deg): 109.47 109.47 109.47
Fractional positions:
Ca1 0.0000 0.5000 0.5000
Ca2 0.5000 0.0000 0.5000
Ca3 0.5000 0.5000 0.0000
Si1 0.0000 0.0000 0.3657
Si2 0.0000 0.3657 0.0000
Si3 0.3657 0.0000 0.0000
Si4 0.6343 0.6343 0.6343
Ir1 0.0000 0.0000 0.7208
Ir2 0.0000 0.7208 0.0000
Ir3 0.2792 0.2792 0.2792
Ir4 0.7208 0.0000 0.0000

---

Record 2
Theoretical X-ray diffraction stick pattern of RbFeN for Cu Kα X-rays, from a crystal structure in the Materials Project, relaxed with PBE.

Largest 10 diffraction maxima, low angle first, 10 to 80 degrees two-theta:
d/Å  Position (°2θ)  I/Imax
3.304  26.98  15
3.155  28.29  100
3.001  29.77  30
2.961  30.18  37
2.492  36.04  13
2.359  38.16  28
1.773  51.55  31
1.767  51.72  14
1.705  53.78  12
1.546  59.84  22

Structure:
a b c (Å): 10.7631 3.5462 6.6089
angles (deg): 90.00 90.00 90.00
Fractional positions:
Rb1 0.1671 0.2500 0.0715
Rb2 0.3329 0.7500 0.5715
Rb3 0.6671 0.2500 0.4285
Rb4 0.8329 0.7500 0.9285
Fe1 0.0387 0.2500 0.5951
Fe2 0.4613 0.7500 0.0951
Fe3 0.5387 0.2500 0.9049
Fe4 0.9613 0.7500 0.4049
N1 0.0556 0.7500 0.6406
N2 0.4444 0.2500 0.1406
N3 0.5556 0.7500 0.8594
N4 0.9444 0.2500 0.3594